The following is a calculated powder XRD pattern of Pu3Zn2Hg4. It was derived from a PBE-relaxed structure, using λ = 1.5418 Å (Cu Kα).
Intensities are scaled so that the largest is 100.

Largest 12 diffraction maxima, in order of rising 2θ, 2θ = 10–80°:
| Position (°2θ) | d [Å] | Rel. int. | hkl |
| --- | --- | --- | --- |
| 35.43 | 2.533 | 100 | 3 1 0 |
| 35.70 | 2.515 | 49 | 0 2 0 |
| 36.83 | 2.440 | 18 | 4 0 -3 |
| 37.04 | 2.427 | 46 | 3 1 -3 |
| 37.30 | 2.411 | 61 | 0 0 3 |
| 52.23 | 1.751 | 14 | 4 2 -3 |
| 52.58 | 1.740 | 25 | 0 2 3 |
| 63.96 | 1.456 | 18 | 3 3 0 |
| 65.04 | 1.434 | 19 | 3 3 -3 |
| 65.16 | 1.432 | 17 | 2 2 3 |
| 74.97 | 1.267 | 20 | 6 2 0 |
| 75.60 | 1.258 | 15 | 0 4 0 |

Structural model:
```
data_Pu3Zn2Hg4
_cell_length_a 10.6122
_cell_length_b 5.0300
_cell_length_c 8.7187
_cell_angle_alpha 90.00
_cell_angle_beta 124.01
_cell_angle_gamma 90.00
_symmetry_space_group_name_H-M 'C 1 2/m 1'
_symmetry_Int_Tables_number 12
_symmetry_space_group_name_Hall '-C 2y'
loop_
_atom_site_label
_atom_site_fract_x
_atom_site_fract_y
_atom_site_fract_z
Pu1 0.0000 0.0000 0.0000
Pu2 0.0037 0.0000 0.3158
Zn1 0.1719 0.5000 0.2791
Hg1 0.1585 0.5000 0.9512
Hg2 0.1692 0.5000 0.6093
```

The following is a calculated powder XRD pattern of V3CrP. It was derived from a PBE-relaxed structure, using λ = 1.5418 Å (Cu Kα).
Intensities are scaled so that the largest is 100.

Largest 12 diffraction maxima, in order of rising 2θ, 2θ = 10–80°:
| Position (°2θ) | d [Å] | Rel. int. | hkl |
| --- | --- | --- | --- |
| 36.02 | 2.493 | 21 | 0 2 2 |
| 36.91 | 2.435 | 64 | 1 1 -4 |
| 37.60 | 2.392 | 19 | 2 2 0 |
| 39.75 | 2.268 | 99 | 4 0 -2 |
| 39.85 | 2.262 | 80 | 2 2 1 |
| 42.06 | 2.149 | 58 | 3 1 2 |
| 42.75 | 2.115 | 100 | 2 2 -3 |
| 43.85 | 2.065 | 22 | 2 2 2 |
| 49.09 | 1.856 | 25 | 3 1 -5 |
| 49.24 | 1.850 | 19 | 2 2 3 |
| 50.24 | 1.816 | 57 | 1 1 5 |
| 51.45 | 1.776 | 27 | 1 3 -2 |

Structural model:
```
data_V3CrP
_cell_length_a 9.1984
_cell_length_b 5.6812
_cell_length_c 10.7878
_cell_angle_alpha 90.00
_cell_angle_beta 105.32
_cell_angle_gamma 90.00
_symmetry_space_group_name_H-M 'C 1 2/c 1'
_symmetry_Int_Tables_number 15
_symmetry_space_group_name_Hall '-C 2yc'
loop_
_atom_site_label
_atom_site_fract_x
_atom_site_fract_y
_atom_site_fract_z
V1 0.0409 0.1686 0.0670
V2 0.1534 0.0390 0.8058
V3 0.2277 0.3825 0.4065
Cr1 0.0564 0.3363 0.6350
P1 0.0000 0.3319 0.2500
P2 0.2500 0.2500 0.0000
```

The following is a calculated powder XRD pattern of NdErPd2. It was derived from a PBE-relaxed structure, using λ = 1.5418 Å (Cu Kα).
Intensities are scaled so that the largest is 100.

Largest 12 diffraction maxima, in order of rising 2θ, 2θ = 10–80°:
| Position (°2θ) | d [Å] | Rel. int. | hkl |
| --- | --- | --- | --- |
| 12.03 | 7.359 | 4 | 0 0 1 |
| 24.19 | 3.679 | 3 | 0 0 2 |
| 25.59 | 3.481 | 4 | 1 0 0 |
| 35.50 | 2.529 | 100 | 1 0 2 |
| 36.50 | 2.462 | 48 | 1 1 0 |
| 45.22 | 2.005 | 3 | 1 0 3 |
| 49.55 | 1.840 | 9 | 0 0 4 |
| 52.57 | 1.741 | 17 | 2 0 0 |
| 63.09 | 1.474 | 17 | 1 1 4 |
| 65.05 | 1.434 | 34 | 2 1 2 |
| 75.15 | 1.264 | 11 | 2 0 4 |
| 77.56 | 1.231 | 5 | 2 2 0 |

Structural model:
```
data_NdErPd2
_cell_length_a 3.4815
_cell_length_b 3.4815
_cell_length_c 7.3586
_cell_angle_alpha 90.00
_cell_angle_beta 90.00
_cell_angle_gamma 90.00
_symmetry_space_group_name_H-M 'P 4/m m m'
_symmetry_Int_Tables_number 123
_symmetry_space_group_name_Hall '-P 4 2'
loop_
_atom_site_label
_atom_site_fract_x
_atom_site_fract_y
_atom_site_fract_z
Nd1 0.0000 0.0000 0.0000
Er1 0.0000 0.0000 0.5000
Pd1 0.5000 0.5000 0.2742
```

The following is a calculated powder XRD pattern of Bi2SbP. It was derived from a PBE-relaxed structure, using λ = 1.5418 Å (Cu Kα).
Intensities are scaled so that the largest is 100.

Largest 12 diffraction maxima, in order of rising 2θ, 2θ = 10–80°:
| Position (°2θ) | d [Å] | Rel. int. | hkl |
| --- | --- | --- | --- |
| 21.73 | 4.090 | 23 | 0 0 6 |
| 24.73 | 3.601 | 47 | 1 0 1 |
| 28.51 | 3.131 | 31 | 1 0 4 |
| 30.58 | 2.924 | 100 | 0 1 5 |
| 35.55 | 2.525 | 12 | 1 0 7 |
| 43.04 | 2.102 | 42 | 1 1 0 |
| 44.53 | 2.035 | 31 | 1 0 10 |
| 48.71 | 1.869 | 17 | 1 1 6 |
| 53.71 | 1.707 | 21 | 2 0 5 |
| 63.65 | 1.462 | 11 | 0 2 10 |
| 71.17 | 1.325 | 18 | 1 2 5 |
| 79.94 | 1.200 | 11 | 2 1 10 |

Structural model:
```
data_Bi2SbP
_cell_length_a 4.2033
_cell_length_b 4.2033
_cell_length_c 24.5388
_cell_angle_alpha 90.00
_cell_angle_beta 90.00
_cell_angle_gamma 120.00
_symmetry_space_group_name_H-M 'R 3 m'
_symmetry_Int_Tables_number 160
_symmetry_space_group_name_Hall 'R 3 -2"'
loop_
_atom_site_label
_atom_site_fract_x
_atom_site_fract_y
_atom_site_fract_z
Bi1 0.0000 0.0000 0.0000
Bi2 0.0000 0.0000 0.1880
Sb1 0.0000 0.0000 0.7842
P1 0.0000 0.0000 0.6106
```